1.
Structure and computed powder diffractogram of SrTiHCl2 (the PBE geometry in Alexandria; Cu Kα, 1.54184 Å).

```
SrTiHCl2
1.0
5.068 0.000 0.000
0.000 5.068 0.000
0.000 0.000 3.820
Sr Ti H Cl
1 1 1 2
direct
0.000 0.000 0.000
0.500 0.500 0.500
0.500 0.500 0.000
0.000 0.500 0.500
0.500 0.000 0.500
```

The 8 most intense peaks (2θ from 15° to 90°), low angle first:
2θ (°)	d [Å]	I/Imax	h k l
24.8	3.584	17	1 1 0
29.3	3.050	100	1 0 1
34.3	2.614	47	1 1 1
35.4	2.534	72	2 0 0
46.6	1.949	53	2 1 1
51.0	1.792	23	2 2 0
60.7	1.525	26	2 0 2
72.3	1.307	15	2 2 2


2.
Structure and computed powder diffractogram of Nd3Dy4Pu (the PBE geometry in Alexandria; Cu Kα, 1.54184 Å).

```
Nd3Dy4Pu
1.0
3.454 0.000 0.000
0.000 11.675 0.000
0.000 0.000 12.939
Nd Dy Pu
6 8 2
direct
0.000 0.000 0.000
0.000 0.500 0.235
0.000 0.500 0.765
0.500 0.000 0.265
0.500 0.000 0.735
0.500 0.500 0.500
0.000 0.248 0.368
0.000 0.248 0.632
0.000 0.752 0.368
0.000 0.752 0.632
0.500 0.252 0.132
0.500 0.252 0.868
0.500 0.748 0.132
0.500 0.748 0.868
0.000 0.000 0.500
0.500 0.500 0.000
```

The 8 most intense peaks (2θ from 15° to 90°), low angle first:
2θ (°)	d [Å]	I/Imax	h k l
26.7	3.337	23	1 0 1
30.3	2.948	60	1 1 2
30.6	2.919	57	0 4 0
31.6	2.829	100	0 2 4
36.7	2.448	38	1 2 3
37.5	2.399	34	1 3 2
55.1	1.667	21	0 6 4
63.1	1.474	28	2 2 4


3.
Structure and computed powder diffractogram of Li6PbAu (the PBE geometry in Alexandria; Cu Kα, 1.54184 Å).

```
Li6PbAu
1.0
5.841 0.000 0.000
-2.920 5.058 0.000
0.000 0.000 4.794
Li Pb Au
6 1 1
direct
0.010 0.505 0.000
0.320 0.160 0.500
0.495 0.505 0.000
0.495 0.990 0.000
0.840 0.160 0.500
0.840 0.680 0.500
0.333 0.667 0.500
0.000 0.000 0.000
```

The 8 most intense peaks (2θ from 15° to 90°), low angle first:
2θ (°)	d [Å]	I/Imax	h k l
17.5	5.058	41	1 0 0
25.6	3.480	100	1 0 1
30.6	2.920	43	1 1 0
37.5	2.397	10	0 0 2
40.3	2.237	38	2 0 1
49.2	1.853	24	1 1 2
51.5	1.776	32	2 1 1
69.9	1.346	13	3 1 1